[1]
Calculated X-ray diffraction stick pattern
Compound: LaNdDy2Er
Radiation: λ = 1.5418 Å (Cu Kα)
Structure: DFT lattice parameters and positions (GGA-PBE)
Intensities are scaled so that the largest is 100.

Peak list (8 most intense, 10° ≤ 2θ ≤ 80°, by intensity)
d/Å  I (rel.)
3.015  100
2.711  40
2.283  38
1.746  22
2.562  21
1.423  21
3.542  19
1.493  18

Crystal structure
Unit cell a=9.020 b=9.020 c=6.455 alpha=90.00 beta=90.00 gamma=138.04
Positions (direct):
La (0.161, 0.839, 0.750)
La (0.839, 0.161, 0.250)
Nd (0.345, 0.655, 0.750)
Nd (0.655, 0.345, 0.250)
Dy (0.250, 0.250, 0.000)
Dy (0.250, 0.250, 0.500)
Dy (0.750, 0.750, 0.000)
Dy (0.750, 0.750, 0.500)
Er (0.251, 0.749, 0.250)
Er (0.749, 0.251, 0.750)

---

[2]
Calculated X-ray diffraction stick pattern
Compound: La2NdDy2Er2
Radiation: λ = 1.5418 Å (Cu Kα)
Structure: DFT lattice parameters and positions (GGA-PBE)
Intensities are scaled so that the largest is 100.

Peak list (8 most intense, 10° ≤ 2θ ≤ 80°, by intensity)
d/Å  I (rel.)
2.951  100
2.551  34
1.538  21
1.807  18
2.565  17
1.543  14
1.804  12
1.547  7

Crystal structure
Unit cell a=6.250 b=6.250 c=8.117 alpha=97.42 beta=97.42 gamma=48.12
Positions (direct):
La (0.142, 0.142, 0.427)
La (0.858, 0.858, 0.573)
Nd (0.000, 0.000, 0.000)
Dy (0.284, 0.284, 0.861)
Dy (0.716, 0.716, 0.139)
Er (0.429, 0.429, 0.282)
Er (0.571, 0.571, 0.718)

---

[3]
Calculated X-ray diffraction stick pattern
Compound: LaPm2Dy4Er
Radiation: λ = 1.5418 Å (Cu Kα)
Structure: DFT lattice parameters and positions (GGA-PBE)
Intensities are scaled so that the largest is 100.

Peak list (8 most intense, 10° ≤ 2θ ≤ 80°, by intensity)
d/Å  I (rel.)
2.933  100
1.798  24
2.549  17
2.539  17
2.531  17
1.536  14
1.531  14
1.528  14

Crystal structure
Unit cell a=5.079 b=5.098 c=10.126 alpha=90.00 beta=90.00 gamma=90.00
Positions (direct):
La (0.000, 0.000, 0.000)
Pm (0.000, 0.000, 0.500)
Pm (0.500, 0.500, 0.000)
Dy (0.000, 0.500, 0.254)
Dy (0.000, 0.500, 0.746)
Dy (0.500, 0.000, 0.254)
Dy (0.500, 0.000, 0.746)
Er (0.500, 0.500, 0.500)

---

[4]
Calculated X-ray diffraction stick pattern
Compound: La4PmDy2Er
Radiation: λ = 1.5418 Å (Cu Kα)
Structure: DFT lattice parameters and positions (GGA-PBE)
Intensities are scaled so that the largest is 100.

Peak list (8 most intense, 10° ≤ 2θ ≤ 80°, by intensity)
d/Å  I (rel.)
2.856  100
2.993  57
1.700  43
2.116  21
1.625  18
1.428  12
1.338  10
1.325  9

Crystal structure
Unit cell a=5.990 b=5.982 c=7.738 alpha=90.00 beta=90.02 gamma=90.00
Positions (direct):
La (0.000, 0.000, 0.243)
La (0.000, 0.000, 0.757)
La (0.499, 0.500, 0.757)
La (0.501, 0.500, 0.243)
Pm (0.500, 0.000, 0.500)
Dy (0.000, 0.500, 0.500)
Dy (0.500, 0.000, 0.000)
Er (0.000, 0.500, 0.000)

---

[5]
Calculated X-ray diffraction stick pattern
Compound: La5PmDyEr2
Radiation: λ = 1.5418 Å (Cu Kα)
Structure: DFT lattice parameters and positions (GGA-PBE)
Intensities are scaled so that the largest is 100.

Peak list (8 most intense, 10° ≤ 2θ ≤ 80°, by intensity)
d/Å  I (rel.)
2.875  100
2.750  30
3.387  18
1.611  18
2.670  18
1.916  14
2.961  12
2.763  11

Crystal structure
Unit cell a=11.217 b=11.217 c=10.678 alpha=90.00 beta=90.00 gamma=151.61
Positions (direct):
La (0.000, 0.000, 0.000)
La (0.000, 0.000, 0.500)
La (0.123, 0.877, 0.750)
La (0.220, 0.780, 0.441)
La (0.221, 0.779, 0.061)
La (0.500, 0.500, 0.250)
La (0.500, 0.500, 0.750)
La (0.779, 0.221, 0.561)
La (0.780, 0.220, 0.941)
La (0.877, 0.123, 0.250)
Pm (0.286, 0.714, 0.751)
Pm (0.714, 0.286, 0.251)
Dy (0.100, 0.900, 0.250)
Dy (0.900, 0.100, 0.750)
Er (0.387, 0.613, 0.502)
Er (0.388, 0.612, 0.998)
Er (0.612, 0.388, 0.498)
Er (0.613, 0.387, 0.002)

---

[6]
Calculated X-ray diffraction stick pattern
Compound: La2Pm2DyEr2
Radiation: λ = 1.5418 Å (Cu Kα)
Structure: DFT lattice parameters and positions (GGA-PBE)
Intensities are scaled so that the largest is 100.

Peak list (8 most intense, 10° ≤ 2θ ≤ 80°, by intensity)
d/Å  I (rel.)
2.960  100
2.567  34
1.546  29
1.816  18
1.810  18
2.557  17
1.550  7
1.541  7

Crystal structure
Unit cell a=6.263 b=6.263 c=8.133 alpha=97.44 beta=97.44 gamma=48.34
Positions (direct):
La (0.142, 0.142, 0.425)
La (0.858, 0.858, 0.575)
Pm (0.285, 0.285, 0.860)
Pm (0.715, 0.715, 0.140)
Dy (0.000, 0.000, 0.000)
Er (0.430, 0.430, 0.283)
Er (0.570, 0.570, 0.717)